Entry 1:
For K2SmNb5O15, the GGA-PBE geometry in the Materials Project gives the calculated XRD peak list in this record (a wavelength of 1.5418 Å).

Principal peaks in the range 2θ = 10–80°, in order of rising 2θ:
2θ = 13.87°, 6.386 Å, intensity 42
2θ = 25.14°, 3.542 Å, intensity 43
2θ = 27.39°, 3.256 Å, intensity 36
2θ = 28.82°, 3.098 Å, intensity 52
2θ = 30.00°, 2.979 Å, intensity 35
2θ = 31.32°, 2.856 Å, intensity 49
2θ = 31.63°, 2.829 Å, intensity 100
2θ = 44.89°, 2.019 Å, intensity 30
2θ = 45.78°, 1.982 Å, intensity 33
2θ = 55.95°, 1.644 Å, intensity 49

Atomic structure:
```
data_K2SmNb5O15
_symmetry_space_group_name_H-M 'P 1'
_symmetry_Int_Tables_number 1
_cell_length_a 12.7714
_cell_length_b 12.7714
_cell_length_c 3.9638
_cell_angle_alpha 90.00
_cell_angle_beta 90.00
_cell_angle_gamma 90.00
loop_
_symmetry_equiv_pos_as_xyz
'x,y,z'
loop_
_atom_site_label
_atom_site_fract_x
_atom_site_fract_y
_atom_site_fract_z
K1 0.1699 0.3301 0.0000
K2 0.3301 0.8301 0.0000
K3 0.6699 0.1699 0.0000
K4 0.8301 0.6699 0.0000
Sm1 0.0000 0.0000 0.0000
Sm2 0.5000 0.5000 0.0000
Nb1 0.0000 0.5000 0.5000
Nb2 0.0765 0.7871 0.5000
Nb3 0.2129 0.0765 0.5000
Nb4 0.2871 0.5765 0.5000
Nb5 0.4235 0.2871 0.5000
Nb6 0.5000 0.0000 0.5000
Nb7 0.5765 0.7129 0.5000
Nb8 0.7129 0.4235 0.5000
Nb9 0.7871 0.9235 0.5000
Nb10 0.9235 0.2129 0.5000
O1 0.0000 0.5000 0.0000
O2 0.0010 0.3421 0.5000
O3 0.0578 0.1308 0.5000
O4 0.0788 0.8118 0.0000
O5 0.1308 0.9422 0.5000
O6 0.1579 0.4990 0.5000
O7 0.1882 0.0788 0.0000
O8 0.2180 0.7180 0.5000
O9 0.2820 0.2180 0.5000
O10 0.3118 0.5788 0.0000
O11 0.3421 0.9990 0.5000
O12 0.3692 0.4422 0.5000
O13 0.4212 0.3118 0.0000
O14 0.4422 0.6308 0.5000
O15 0.4990 0.8421 0.5000
O16 0.5000 0.0000 0.0000
O17 0.5010 0.1579 0.5000
O18 0.5578 0.3692 0.5000
O19 0.5788 0.6882 0.0000
O20 0.6308 0.5578 0.5000
O21 0.6579 0.0010 0.5000
O22 0.6882 0.4212 0.0000
O23 0.7180 0.7820 0.5000
O24 0.7820 0.2820 0.5000
O25 0.8118 0.9212 0.0000
O26 0.8421 0.5010 0.5000
O27 0.8692 0.0578 0.5000
O28 0.9212 0.1882 0.0000
O29 0.9422 0.8692 0.5000
O30 0.9990 0.6579 0.5000
```

***

Entry 2:
For KSr2Nb5O15, the GGA-PBE geometry in the Materials Project gives the calculated XRD peak list in this record (a wavelength of 1.5418 Å).

Principal peaks in the range 2θ = 10–80°, in order of rising 2θ:
2θ = 21.90°, 4.058 Å, intensity 40
2θ = 25.32°, 3.518 Å, intensity 48
2θ = 27.02°, 3.300 Å, intensity 57
2θ = 29.04°, 3.075 Å, intensity 76
2θ = 29.69°, 3.009 Å, intensity 30
2θ = 31.36°, 2.852 Å, intensity 100
2θ = 31.56°, 2.835 Å, intensity 42
2θ = 33.73°, 2.657 Å, intensity 27
2θ = 44.66°, 2.029 Å, intensity 39
2θ = 56.07°, 1.640 Å, intensity 31

Atomic structure:
```
data_KSr2Nb5O15
_symmetry_space_group_name_H-M 'P 1'
_symmetry_Int_Tables_number 1
_cell_length_a 12.6792
_cell_length_b 12.6792
_cell_length_c 4.0580
_cell_angle_alpha 90.00
_cell_angle_beta 90.00
_cell_angle_gamma 90.16
loop_
_symmetry_equiv_pos_as_xyz
'x,y,z'
loop_
_atom_site_label
_atom_site_fract_x
_atom_site_fract_y
_atom_site_fract_z
K1 0.1717 0.8283 0.0000
K2 0.8283 0.1717 0.0000
Sr1 0.0000 0.5000 0.0018
Sr2 0.3266 0.3266 0.0174
Sr3 0.5000 0.0000 0.0018
Sr4 0.6734 0.6734 0.0174
Nb1 0.0000 0.0000 0.5354
Nb2 0.0765 0.2878 0.5148
Nb3 0.2111 0.5762 0.5161
Nb4 0.2878 0.0765 0.5148
Nb5 0.4238 0.7889 0.5161
Nb6 0.5000 0.5000 0.5249
Nb7 0.5762 0.2111 0.5161
Nb8 0.7122 0.9235 0.5148
Nb9 0.7889 0.4238 0.5161
Nb10 0.9235 0.7122 0.5148
O1 0.0000 0.0000 0.9865
O2 0.0008 0.1571 0.4776
O3 0.0629 0.6366 0.4774
O4 0.0864 0.3002 0.9798
O5 0.1375 0.4363 0.4730
O6 0.1571 0.0008 0.4776
O7 0.2005 0.5760 0.9789
O8 0.2280 0.2280 0.4825
O9 0.2871 0.7129 0.4791
O10 0.3002 0.0864 0.9798
O11 0.3425 0.4908 0.4693
O12 0.3634 0.9371 0.4774
O13 0.4240 0.7995 0.9789
O14 0.4363 0.1375 0.4730
O15 0.4908 0.3425 0.4693
O16 0.5000 0.5000 0.9812
O17 0.5092 0.6575 0.4693
O18 0.5637 0.8625 0.4730
O19 0.5760 0.2005 0.9789
O20 0.6366 0.0629 0.4774
O21 0.6575 0.5092 0.4693
O22 0.6998 0.9136 0.9798
O23 0.7129 0.2871 0.4791
O24 0.7720 0.7720 0.4825
O25 0.7995 0.4240 0.9789
O26 0.8429 0.9992 0.4776
O27 0.8625 0.5637 0.4730
O28 0.9136 0.6998 0.9798
O29 0.9371 0.3634 0.4774
O30 0.9992 0.8429 0.4776
```